For U5O11, a crystal structure in the Materials Project, relaxed with PBE gives the computed powder X-ray diffraction pattern in this record (λ = 1.5418 Å (Cu Kα)).
No peak broadening, texture or thermal motion is included.

Structure:
```
data_U5O11
_space_group_name_H-M_alt 'P 1'
_space_group_IT_number 1
_cell_length_a 3.8336
_cell_length_b 3.8336
_cell_length_c 15.7282
_cell_angle_alpha 97.01
_cell_angle_beta 97.01
_cell_angle_gamma 60.37
loop_
_space_group_symop_operation_xyz
'x,y,z'
loop_
_atom_site_label
_atom_site_type_symbol
_atom_site_fract_x
_atom_site_fract_y
_atom_site_fract_z
U1 U 0.0000 0.0000 0.0000
U2 U 0.2026 0.2026 0.5897
U3 U 0.3956 0.3956 0.2013
U4 U 0.6044 0.6044 0.7987
U5 U 0.7974 0.7974 0.4103
O1 O 0.0452 0.0452 0.1483
O2 O 0.1427 0.1427 0.4329
O3 O 0.2576 0.2576 0.7557
O4 O 0.3488 0.3488 0.0491
O5 O 0.4380 0.4380 0.3364
O6 O 0.5000 0.5000 0.5000
O7 O 0.5620 0.5620 0.6636
O8 O 0.6512 0.6512 0.9509
O9 O 0.7424 0.7424 0.2443
O10 O 0.8573 0.8573 0.5671
O11 O 0.9548 0.9548 0.8517
```

Top 6 peaks for 2θ = 5–70°, in order of rising 2θ:
2θ (°), I_rel
28.43, 100
28.63, 98
33.03, 53
47.48, 66
56.09, 32
56.37, 38


For Al3BC3, a crystal structure in the Materials Project, relaxed with PBE gives the computed powder X-ray diffraction pattern in this record (λ = 1.5418 Å (Cu Kα)).
No peak broadening, texture or thermal motion is included.

Structure:
```
data_Al3BC3
_space_group_name_H-M_alt 'P 1'
_space_group_IT_number 1
_cell_length_a 3.4275
_cell_length_b 3.4275
_cell_length_c 15.8877
_cell_angle_alpha 90.00
_cell_angle_beta 90.00
_cell_angle_gamma 120.00
loop_
_space_group_symop_operation_xyz
'x,y,z'
loop_
_atom_site_label
_atom_site_type_symbol
_atom_site_fract_x
_atom_site_fract_y
_atom_site_fract_z
Al1 Al 0.0000 0.0000 0.2500
Al2 Al 0.0000 0.0000 0.7500
Al3 Al 0.3333 0.6667 0.1221
Al4 Al 0.3333 0.6667 0.3779
Al5 Al 0.6667 0.3333 0.6221
Al6 Al 0.6667 0.3333 0.8779
B1 B 0.0000 0.0000 0.0000
B2 B 0.0000 0.0000 0.5000
C1 C 0.0000 0.0000 0.0908
C2 C 0.0000 0.0000 0.4092
C3 C 0.0000 0.0000 0.5908
C4 C 0.0000 0.0000 0.9092
C5 C 0.3333 0.6667 0.2500
C6 C 0.6667 0.3333 0.7500
```

Top 6 peaks for 2θ = 5–70°, in order of rising 2θ:
2θ (°), I_rel
11.14, 35
30.64, 100
34.64, 26
37.84, 58
45.68, 26
53.47, 72